Record 1
The following is a computed powder XRD pattern of LaPd3Au9. It was derived from a cell relaxed with PBE, using Cu Kα (weighted mean of Kα1 and Kα2).
No peak broadening, texture or thermal motion is included.

Largest 12 diffraction maxima, by angle, 2θ = 10–90°:
two_theta, d [Å], intensity
31.60, 2.831, 38
32.60, 2.747, 36
32.90, 2.722, 22
36.92, 2.435, 27
37.29, 2.412, 34
37.76, 2.383, 23
38.23, 2.354, 100
38.44, 2.342, 67
41.57, 2.172, 32
42.06, 2.148, 49
42.23, 2.140, 22
43.05, 2.101, 45

Structural model:
a = 7.179 Å, b = 7.179 Å, c = 7.190 Å
α = 98.61°, β = 98.61°, γ = 133.54°
Sites, in units of the cell vectors:
La 0.000 0.000 0.000
Pd 0.000 0.000 0.500
Pd 0.000 0.500 0.000
Pd 0.500 0.000 0.000
Au 0.016 0.670 0.661
Au 0.282 0.500 0.785
Au 0.330 0.984 0.339
Au 0.500 0.282 0.785
Au 0.500 0.500 0.500
Au 0.500 0.718 0.215
Au 0.670 0.016 0.661
Au 0.718 0.500 0.215
Au 0.984 0.330 0.339

Record 2
The following is a computed powder XRD pattern of La3PdAu3. It was derived from a cell relaxed with PBE, using Cu Kα (weighted mean of Kα1 and Kα2).
No peak broadening, texture or thermal motion is included.

Largest 12 diffraction maxima, by angle, 2θ = 10–90°:
two_theta, d [Å], intensity
22.80, 3.901, 15
26.51, 3.362, 20
30.96, 2.888, 100
31.60, 2.832, 24
34.67, 2.587, 35
36.75, 2.445, 47
38.97, 2.311, 38
40.18, 2.244, 54
45.64, 1.988, 30
59.97, 1.542, 23
61.53, 1.507, 20
86.81, 1.122, 13

Structural model:
a = 10.536 Å, b = 10.536 Å, c = 10.536 Å
α = 158.25°, β = 154.66°, γ = 33.64°
Sites, in units of the cell vectors:
La 0.000 0.000 0.000
La 0.362 0.362 0.000
La 0.687 0.187 0.500
Pd 0.252 0.752 0.500
Au 0.119 0.619 0.500
Au 0.528 0.528 0.000
Au 0.836 0.836 0.000

Record 3
The following is a computed powder XRD pattern of LaPdAu11. It was derived from a cell relaxed with PBE, using Cu Kα (weighted mean of Kα1 and Kα2).
No peak broadening, texture or thermal motion is included.

Largest 12 diffraction maxima, by angle, 2θ = 10–90°:
two_theta, d [Å], intensity
32.11, 2.787, 35
36.91, 2.435, 37
37.10, 2.423, 26
37.26, 2.413, 32
37.53, 2.396, 45
37.70, 2.386, 100
38.40, 2.344, 37
41.65, 2.168, 90
41.86, 2.158, 39
42.20, 2.142, 28
42.88, 2.109, 37
68.39, 1.372, 25

Structural model:
a = 7.394 Å, b = 7.394 Å, c = 7.152 Å
α = 98.02°, β = 98.02°, γ = 135.45°
Sites, in units of the cell vectors:
La 0.000 0.000 0.000
Pd 0.000 0.000 0.500
Au 0.000 0.500 0.000
Au 0.011 0.668 0.648
Au 0.285 0.498 0.785
Au 0.332 0.989 0.352
Au 0.498 0.285 0.785
Au 0.500 0.000 0.000
Au 0.500 0.500 0.500
Au 0.502 0.715 0.215
Au 0.668 0.011 0.648
Au 0.715 0.502 0.215
Au 0.989 0.332 0.352

Record 4
The following is a computed powder XRD pattern of La2SiPdAu6. It was derived from a cell relaxed with PBE, using Cu Kα (weighted mean of Kα1 and Kα2).
No peak broadening, texture or thermal motion is included.

Largest 12 diffraction maxima, by angle, 2θ = 10–90°:
two_theta, d [Å], intensity
20.24, 4.388, 36
26.48, 3.366, 44
28.45, 3.137, 32
29.49, 3.029, 28
31.73, 2.820, 28
37.96, 2.370, 100
38.28, 2.351, 29
38.54, 2.336, 63
38.92, 2.314, 57
41.57, 2.172, 30
42.36, 2.134, 31
54.21, 1.692, 30

Structural model:
a = 5.519 Å, b = 6.662 Å, c = 7.284 Å
α = 78.37°, β = 67.74°, γ = 65.61°
Sites, in units of the cell vectors:
La 0.223 0.250 0.303
La 0.777 0.750 0.697
Si 0.000 0.000 0.000
Pd 0.500 0.500 0.500
Au 0.228 0.791 0.255
Au 0.254 0.596 0.899
Au 0.273 0.209 0.746
Au 0.727 0.791 0.254
Au 0.746 0.404 0.101
Au 0.772 0.209 0.745